For CaTiBiO4, a cell relaxed with PBE gives the theoretical X-ray powder pattern in this record (copper Kα).
No peak broadening, texture or thermal motion is included.

Principal peaks in the range 2θ from 10° to 90°, in order of rising 2θ:
d = 4.890 Å, intensity 25
d = 4.215 Å, intensity 92
d = 3.701 Å, intensity 43
d = 3.006 Å, intensity 100
d = 2.867 Å, intensity 70
d = 2.564 Å, intensity 24
d = 2.266 Å, intensity 41
d = 2.223 Å, intensity 29
d = 2.107 Å, intensity 34
d = 1.662 Å, intensity 24

Atomic structure:
Cell: 5.7423 5.7423 7.4018 Å, 90.00 90.00 116.76°
Fractional positions:
Ca 0.0000 0.0000 0.0000
Ca 0.0000 0.0000 0.5000
Ti 0.3426 0.6574 0.7500
Ti 0.6574 0.3426 0.2500
Bi 0.3138 0.6862 0.2500
Bi 0.6862 0.3138 0.7500
O 0.2327 0.2942 0.7500
O 0.2368 0.7632 0.5481
O 0.2368 0.7632 0.9519
O 0.2942 0.2327 0.2500
O 0.7058 0.7673 0.7500
O 0.7632 0.2368 0.0481
O 0.7632 0.2368 0.4519
O 0.7673 0.7058 0.2500